1.
Computed powder diffraction line list of KPbN for Cu Kα, from a cell relaxed with GGA-PBE.
Intensities are scaled so that the largest is 100.

Top 8 peaks for 2θ = 10–90°, in order of rising 2θ:
2θ = 17.62°, d = 5.033 Å, intensity 100, hkl 1 1 0
2θ = 24.02°, d = 3.705 Å, intensity 61, hkl 0 2 0
2θ = 25.98°, d = 3.429 Å, intensity 41, hkl 2 0 0
2θ = 26.80°, d = 3.326 Å, intensity 22, hkl 0 0 1
2θ = 28.89°, d = 3.091 Å, intensity 50, hkl 1 1 -1
2θ = 35.34°, d = 2.540 Å, intensity 36, hkl 1 1 1
2θ = 35.68°, d = 2.517 Å, intensity 36, hkl 2 2 0
2θ = 42.84°, d = 2.111 Å, intensity 22, hkl 3 1 -1

Structural model:
Cell lengths 7.1595, 7.4091, 3.4725 Å; angles 90.00, 106.68, 90.00 degrees
Space group Cm (No. 8)
Inequivalent atoms, fractional coordinates:
K: 0.0000 0.0000 0.0000 [2 per cell]
Pb: 0.0033 0.5000 0.3110 [2 per cell]
N: 0.3012 0.0000 0.6892 [2 per cell]



2.
Computed powder diffraction line list of KPbN for Cu Kα, from a cell relaxed with GGA-PBE.
Intensities are scaled so that the largest is 100.

Top 8 peaks for 2θ = 10–90°, in order of rising 2θ:
2θ = 14.31°, d = 6.188 Å, intensity 61, hkl 0 0 1
2θ = 28.40°, d = 3.142 Å, intensity 42, hkl 2 0 0
2θ = 28.85°, d = 3.094 Å, intensity 23, hkl 0 0 2
2θ = 31.94°, d = 2.802 Å, intensity 100, hkl 1 1 1
2θ = 40.92°, d = 2.205 Å, intensity 34, hkl 2 0 -2
2θ = 50.29°, d = 1.814 Å, intensity 18, hkl 3 1 0
2θ = 52.57°, d = 1.741 Å, intensity 15, hkl 3 1 -1
2θ = 53.09°, d = 1.725 Å, intensity 20, hkl 1 1 -3

Structural model:
Cell lengths 6.2818, 3.6299, 6.1885 Å; angles 90.00, 90.15, 90.00 degrees
Space group Cm (No. 8)
Inequivalent atoms, fractional coordinates:
K: 0.0000 0.0000 0.0000 [2 per cell]
Pb: 0.3349 0.0000 0.4700 [2 per cell]
N: 0.1677 0.5000 0.2842 [2 per cell]



3.
Computed powder diffraction line list of KPbN for Cu Kα, from a cell relaxed with GGA-PBE.
Intensities are scaled so that the largest is 100.

Top 8 peaks for 2θ = 10–90°, in order of rising 2θ:
2θ = 14.80°, d = 5.986 Å, intensity 100, hkl 1 0 1
2θ = 26.31°, d = 3.387 Å, intensity 42, hkl 0 0 2
2θ = 27.92°, d = 3.195 Å, intensity 33, hkl 4 0 0
2θ = 28.57°, d = 3.125 Å, intensity 71, hkl 2 1 0
2θ = 29.05°, d = 3.074 Å, intensity 24, hkl 1 1 1
2θ = 35.32°, d = 2.542 Å, intensity 32, hkl 3 1 1
2θ = 38.74°, d = 2.324 Å, intensity 31, hkl 4 0 2
2θ = 39.22°, d = 2.297 Å, intensity 65, hkl 2 1 2

Structural model:
Cell lengths 12.7804, 3.5822, 6.7748 Å; angles 90.00, 90.00, 90.00 degrees
Space group Pnma (No. 62)
Inequivalent atoms, fractional coordinates:
K: 0.1215 0.2500 0.0028 [4 per cell]
Pb: 0.1091 0.2500 0.5169 [4 per cell]
N: 0.0368 0.7500 0.6946 [4 per cell]



4.
Computed powder diffraction line list of KPdN for Cu Kα, from a cell relaxed with GGA-PBE.
Intensities are scaled so that the largest is 100.

Top 8 peaks for 2θ = 10–90°, in order of rising 2θ:
2θ = 19.53°, d = 4.546 Å, intensity 23, hkl 0 2 0
2θ = 23.60°, d = 3.769 Å, intensity 20, hkl 1 0 0
2θ = 30.82°, d = 2.902 Å, intensity 100, hkl 1 2 0
2θ = 33.63°, d = 2.665 Å, intensity 32, hkl 1 0 1
2θ = 39.65°, d = 2.273 Å, intensity 14, hkl 0 4 0
2θ = 52.94°, d = 1.729 Å, intensity 17, hkl 1 4 1
2θ = 58.33°, d = 1.582 Å, intensity 15, hkl 1 2 2
2θ = 58.44°, d = 1.579 Å, intensity 15, hkl 2 2 1

Structural model:
Cell lengths 3.7630, 9.0922, 3.7754 Å; angles 90.00, 90.10, 90.00 degrees
Space group P2/m (No. 10)
Inequivalent atoms, fractional coordinates:
K: 0.0000 0.2498 0.0000 [2 per cell]
Pd: 0.5000 0.0000 0.5000 [1 per cell]
Pd: 0.5000 0.5000 0.5000 [1 per cell]
N: 0.0000 0.0000 0.5000 [1 per cell]
N: 0.5000 0.5000 0.0000 [1 per cell]



5.
Computed powder diffraction line list of KPdN for Cu Kα, from a cell relaxed with GGA-PBE.
Intensities are scaled so that the largest is 100.

Top 8 peaks for 2θ = 10–90°, in order of rising 2θ:
2θ = 16.06°, d = 5.517 Å, intensity 77, hkl 1 0 1
2θ = 16.71°, d = 5.304 Å, intensity 50, hkl 2 0 0
2θ = 28.78°, d = 3.102 Å, intensity 30, hkl 3 0 1
2θ = 28.90°, d = 3.090 Å, intensity 24, hkl 1 0 2
2θ = 29.17°, d = 3.062 Å, intensity 40, hkl 2 1 0
2θ = 36.63°, d = 2.453 Å, intensity 23, hkl 4 0 1
2θ = 37.71°, d = 2.386 Å, intensity 100, hkl 1 1 2
2θ = 51.48°, d = 1.775 Å, intensity 35, hkl 5 1 1

Structural model:
Cell lengths 10.6084, 3.7492, 6.4600 Å; angles 90.00, 90.00, 90.00 degrees
Space group Pnma (No. 62)
Inequivalent atoms, fractional coordinates:
K: 0.1606 0.2500 0.0869 [4 per cell]
Pd: 0.0541 0.2500 0.6130 [4 per cell]
N: 0.0763 0.7500 0.6965 [4 per cell]